# 1
This entry pairs a crystal structure of CrFeTe with its simulated powder XRD pattern. Radiation: Cu Kα (λ = 1.5418 Å). Structure: a DFT-relaxed cell (GGA-PBE, the Materials Project).

Structural model:
Cell: 4.146 4.146 4.146 Å, 60.00 60.00 60.00°
Sites, in units of the cell vectors:
1 Cr 0.000 0.000 0.000
2 Fe 0.250 0.250 0.250
3 Te 0.500 0.500 0.500

Largest 8 diffraction maxima, low angle first, 10 to 80 degrees two-theta:
26.33 deg, rel. 40
30.49 deg, rel. 34
43.66 deg, rel. 100
51.70 deg, rel. 19
54.19 deg, rel. 9
63.46 deg, rel. 15
69.93 deg, rel. 8
72.03 deg, rel. 11


# 2
This entry pairs a crystal structure of Gd2MgCd with its simulated powder XRD pattern. Radiation: Cu Kα (λ = 1.5418 Å). Structure: a DFT-relaxed cell (GGA-PBE, the Materials Project).

Structural model:
Cell: 5.332 5.332 5.332 Å, 60.00 60.00 60.00°
Sites, in units of the cell vectors:
1 Gd 0.250 0.250 0.250
2 Gd 0.750 0.750 0.750
3 Mg 0.000 0.000 0.000
4 Cd 0.500 0.500 0.500

Largest 10 diffraction maxima, low angle first, 10 to 80 degrees two-theta:
20.40 deg, rel. 9
23.60 deg, rel. 17
33.61 deg, rel. 100
39.64 deg, rel. 5
41.48 deg, rel. 5
48.27 deg, rel. 18
54.41 deg, rel. 7
60.11 deg, rel. 37
70.66 deg, rel. 11
75.67 deg, rel. 4


# 3
This entry pairs a crystal structure of Ga3Sb with its simulated powder XRD pattern. Radiation: Cu Kα (λ = 1.5418 Å). Structure: a DFT-relaxed cell (GGA-PBE, the Materials Project).

Structural model:
Cell: 5.655 5.655 5.655 Å, 135.12 135.12 65.35°
Sites, in units of the cell vectors:
1 Ga 0.000 0.000 0.000
2 Ga 0.250 0.750 0.500
3 Ga 0.750 0.250 0.500
4 Sb 0.500 0.500 0.000

Largest 10 diffraction maxima, low angle first, 10 to 80 degrees two-theta:
18.64 deg, rel. 2
22.61 deg, rel. 6
34.91 deg, rel. 100
37.80 deg, rel. 20
41.85 deg, rel. 30
57.65 deg, rel. 23
60.67 deg, rel. 10
66.40 deg, rel. 15
71.95 deg, rel. 23
73.73 deg, rel. 11


# 4
This entry pairs a crystal structure of ZnCdGa4S8 with its simulated powder XRD pattern. Radiation: Cu Kα (λ = 1.5418 Å). Structure: a DFT-relaxed cell (GGA-PBE, the Materials Project).

Structural model:
Cell: 5.511 5.511 10.412 Å, 90.00 90.00 90.00°
Sites, in units of the cell vectors:
1 Zn 0.000 0.000 0.000
2 Cd 0.500 0.500 0.500
3 Ga 0.000 0.000 0.500
4 Ga 0.000 0.500 0.246
5 Ga 0.500 0.000 0.754
6 Ga 0.500 0.500 0.000
7 S 0.231 0.233 0.638
8 S 0.233 0.769 0.362
9 S 0.255 0.256 0.127
10 S 0.256 0.745 0.873
11 S 0.744 0.255 0.873
12 S 0.745 0.744 0.127
13 S 0.767 0.231 0.362
14 S 0.769 0.767 0.638

Largest 10 diffraction maxima, low angle first, 10 to 80 degrees two-theta:
18.21 deg, rel. 22
22.82 deg, rel. 10
28.62 deg, rel. 100
36.91 deg, rel. 7
37.50 deg, rel. 8
46.62 deg, rel. 24
48.09 deg, rel. 40
55.62 deg, rel. 28
58.20 deg, rel. 12
77.65 deg, rel. 10


# 5
This entry pairs a crystal structure of ZnOsN2 with its simulated powder XRD pattern. Radiation: Cu Kα (λ = 1.5418 Å). Structure: a DFT-relaxed cell (GGA-PBE, the Materials Project).

Structural model:
Cell: 5.731 6.414 5.301 Å, 90.00 90.00 90.00°
Sites, in units of the cell vectors:
1 Zn 0.062 0.114 0.000
2 Zn 0.438 0.614 0.500
3 Zn 0.562 0.386 0.000
4 Zn 0.938 0.886 0.500
5 Os 0.051 0.598 0.977
6 Os 0.449 0.098 0.477
7 Os 0.551 0.902 0.977
8 Os 0.949 0.402 0.477
9 N 0.113 0.641 0.341
10 N 0.120 0.150 0.383
11 N 0.380 0.650 0.883
12 N 0.387 0.141 0.841
13 N 0.613 0.859 0.341
14 N 0.620 0.350 0.383
15 N 0.880 0.850 0.883
16 N 0.887 0.359 0.841

Largest 10 diffraction maxima, low angle first, 10 to 80 degrees two-theta:
20.78 deg, rel. 38
21.75 deg, rel. 15
31.21 deg, rel. 32
33.82 deg, rel. 42
35.61 deg, rel. 23
36.30 deg, rel. 100
46.68 deg, rel. 20
56.03 deg, rel. 15
62.12 deg, rel. 25
67.07 deg, rel. 15